[1]
The following is a computed XRD peak list of Er3SnPt. It was derived from a GGA-PBE-relaxed structure, using Cu Kα (weighted mean of Kα1 and Kα2).
Neutral-atom scattering factors, no anomalous dispersion.

```
data_Er3SnPt
_symmetry_space_group_name_H-M 'P 1'
_symmetry_Int_Tables_number 1
_symmetry_space_group_name_Hall 'P 1'
_cell_length_a 4.5204
_cell_length_b 6.7480
_cell_length_c 8.8385
_cell_angle_alpha 90.00
_cell_angle_beta 90.00
_cell_angle_gamma 90.00
loop_
_atom_site_label
_atom_site_type_symbol
_atom_site_fract_x
_atom_site_fract_y
_atom_site_fract_z
_atom_site_occupancy
Er1 Er 0.2500 0.0032 0.1627 1
Er2 Er 0.2500 0.2500 0.5770 1
Er3 Er 0.2500 0.4968 0.1627 1
Er4 Er 0.7500 0.5032 0.8373 1
Er5 Er 0.7500 0.7500 0.4230 1
Er6 Er 0.7500 0.9968 0.8373 1
Sn1 Sn 0.2500 0.7500 0.6469 1
Sn2 Sn 0.7500 0.2500 0.3531 1
Pt1 Pt 0.2500 0.2500 0.9006 1
Pt2 Pt 0.7500 0.7500 0.0994 1
```

Top 10 peaks for 10 to 90 degrees two-theta, in order of rising 2θ:
Position (°2θ)	Rel. int.	h k l
10.01	16.2	0 0 1
23.69	24.0	1 1 0
28.26	50.3	1 0 2
31.26	13.9	1 1 2
33.18	15.9	0 1 3
34.69	100.0	1 2 1
36.40	18.3	1 0 3
39.89	34.8	2 0 0
45.53	25.3	1 2 3
54.38	14.2	0 4 0


[2]
The following is a computed XRD peak list of TmMg7. It was derived from a GGA-PBE-relaxed structure, using Cu Kα (weighted mean of Kα1 and Kα2).
Neutral-atom scattering factors, no anomalous dispersion.

```
data_TmMg7
_symmetry_space_group_name_H-M 'P 1'
_symmetry_Int_Tables_number 1
_symmetry_space_group_name_Hall 'P 1'
_cell_length_a 4.5638
_cell_length_b 4.5638
_cell_length_c 18.3574
_cell_angle_alpha 90.00
_cell_angle_beta 90.00
_cell_angle_gamma 90.00
loop_
_atom_site_label
_atom_site_type_symbol
_atom_site_fract_x
_atom_site_fract_y
_atom_site_fract_z
_atom_site_occupancy
Tm1 Tm 0.0000 0.0000 0.0000 1
Tm2 Tm 0.5000 0.5000 0.5000 1
Mg1 Mg 0.0000 0.0000 0.2458 1
Mg2 Mg 0.0000 0.0000 0.5000 1
Mg3 Mg 0.0000 0.0000 0.7542 1
Mg4 Mg 0.0000 0.5000 0.1280 1
Mg5 Mg 0.0000 0.5000 0.3720 1
Mg6 Mg 0.0000 0.5000 0.6280 1
Mg7 Mg 0.0000 0.5000 0.8720 1
Mg8 Mg 0.5000 0.0000 0.1280 1
Mg9 Mg 0.5000 0.0000 0.3720 1
Mg10 Mg 0.5000 0.0000 0.6280 1
Mg11 Mg 0.5000 0.0000 0.8720 1
Mg12 Mg 0.5000 0.5000 0.0000 1
Mg13 Mg 0.5000 0.5000 0.2542 1
Mg14 Mg 0.5000 0.5000 0.7458 1
```

Top 10 peaks for 10 to 90 degrees two-theta, in order of rising 2θ:
Position (°2θ)	Rel. int.	h k l
19.34	16.5	0 0 4
20.05	62.2	1 0 1
24.33	36.3	1 0 3
29.34	25.6	1 1 2
31.27	22.6	1 0 5
33.96	100.0	1 1 4
39.26	16.5	0 0 8
39.49	33.0	2 0 0
56.91	21.9	2 0 8
68.11	25.4	3 1 4


[3]
The following is a computed XRD peak list of PrNd5Zn4. It was derived from a GGA-PBE-relaxed structure, using Cu Kα (weighted mean of Kα1 and Kα2).
Neutral-atom scattering factors, no anomalous dispersion.

```
data_PrNd5Zn4
_symmetry_space_group_name_H-M 'P 1'
_symmetry_Int_Tables_number 1
_symmetry_space_group_name_Hall 'P 1'
_cell_length_a 3.6893
_cell_length_b 3.6893
_cell_length_c 19.9887
_cell_angle_alpha 90.00
_cell_angle_beta 90.00
_cell_angle_gamma 90.00
loop_
_atom_site_label
_atom_site_type_symbol
_atom_site_fract_x
_atom_site_fract_y
_atom_site_fract_z
_atom_site_occupancy
Pr1 Pr 0.0000 0.0000 0.0000 1
Nd1 Nd 0.5000 0.5000 0.1329 1
Nd2 Nd 0.5000 0.5000 0.3167 1
Nd3 Nd 0.5000 0.5000 0.5000 1
Nd4 Nd 0.5000 0.5000 0.6833 1
Nd5 Nd 0.5000 0.5000 0.8671 1
Zn1 Zn 0.0000 0.0000 0.2234 1
Zn2 Zn 0.0000 0.0000 0.4077 1
Zn3 Zn 0.0000 0.0000 0.5923 1
Zn4 Zn 0.0000 0.0000 0.7766 1
```

Top 10 peaks for 10 to 90 degrees two-theta, in order of rising 2θ:
Position (°2θ)	Rel. int.	h k l
24.12	11.1	1 0 0
30.11	15.7	1 0 4
33.04	100.0	1 0 5
34.38	68.8	1 1 0
36.33	25.4	1 0 6
49.41	24.5	2 0 0
60.73	34.0	2 1 5
62.27	13.2	1 1 11
62.85	10.0	2 1 6
82.72	10.7	3 1 0


[4]
The following is a computed XRD peak list of MgSc2Tl3. It was derived from a GGA-PBE-relaxed structure, using Cu Kα (weighted mean of Kα1 and Kα2).
Neutral-atom scattering factors, no anomalous dispersion.

```
data_MgSc2Tl3
_symmetry_space_group_name_H-M 'P 1'
_symmetry_Int_Tables_number 1
_symmetry_space_group_name_Hall 'P 1'
_cell_length_a 5.0643
_cell_length_b 7.2743
_cell_length_c 8.0482
_cell_angle_alpha 90.00
_cell_angle_beta 107.40
_cell_angle_gamma 90.00
loop_
_atom_site_label
_atom_site_type_symbol
_atom_site_fract_x
_atom_site_fract_y
_atom_site_fract_z
_atom_site_occupancy
Mg1 Mg 0.1608 0.0000 0.3226 1
Mg2 Mg 0.8392 0.0000 0.6774 1
Sc1 Sc 0.1703 0.5000 0.3392 1
Sc2 Sc 0.5000 0.0000 0.0000 1
Sc3 Sc 0.5000 0.5000 0.0000 1
Sc4 Sc 0.8297 0.5000 0.6608 1
Tl1 Tl 0.0000 0.2530 0.0000 1
Tl2 Tl 0.0000 0.7470 0.0000 1
Tl3 Tl 0.3314 0.2429 0.6627 1
Tl4 Tl 0.3314 0.7571 0.6627 1
Tl5 Tl 0.6686 0.2429 0.3373 1
Tl6 Tl 0.6686 0.7571 0.3373 1
```

Top 10 peaks for 10 to 90 degrees two-theta, in order of rising 2θ:
Position (°2θ)	Rel. int.	h k l
24.50	100.0	1 0 1
24.93	48.1	1 0 -2
34.92	90.2	1 2 1
35.05	44.7	0 0 3
35.22	88.2	1 2 -2
35.46	43.6	2 0 -1
43.22	23.4	0 2 3
56.64	27.0	1 0 4
62.63	32.8	1 2 4
63.15	32.3	3 2 0